Record 1
# Pa2Zn3Pt4
Computed powder diffractogram, a wavelength of 1.5418 Å. Input: a crystal structure in Alexandria, relaxed with GGA-PBE.
Lines closer than 0.1° are merged.

Cell lengths 5.5774, 15.7202, 7.4560 Å; angles 90.00, 90.00, 90.00 degrees
Space group Cmce (No. 64)
Inequivalent atoms, fractional coordinates:
Pa 0.0000 0.1105 0.0884 (multiplicity 8)
Zn 0.0000 0.0000 0.5000 (multiplicity 4)
Zn 0.2500 0.2255 0.7500 (multiplicity 8)
Pt 0.0000 0.1727 0.4607 (multiplicity 8)
Pt 0.2500 0.0594 0.7500 (multiplicity 8)

The 8 most intense peaks (2θ = 10–90°), low angle first:
33.6°, I = 34, hkl 1 3 2
34.9°, I = 100, hkl 1 5 1
36.2°, I = 74, hkl 2 2 1
36.3°, I = 35, hkl 0 6 1
38.0°, I = 80, hkl 0 2 3
39.6°, I = 31, hkl 2 4 0
40.4°, I = 94, hkl 2 0 2
50.2°, I = 26, hkl 1 7 2

Record 2
# In6AgPb2
Computed powder diffractogram, a wavelength of 1.5418 Å. Input: a crystal structure in Alexandria, relaxed with GGA-PBE.
Lines closer than 0.1° are merged.

Cell lengths 3.4596, 15.6589, 8.9977 Å; angles 90.00, 90.00, 90.00 degrees
Space group Amm2 (No. 38)
Inequivalent atoms, fractional coordinates:
In 0.0000 0.0000 0.0000 (multiplicity 2)
In 0.0000 0.1326 0.5853 (multiplicity 4)
In 0.5000 0.0000 0.3557 (multiplicity 2)
In 0.5000 0.1774 0.9027 (multiplicity 4)
Ag 0.5000 0.0000 0.7276 (multiplicity 2)
Pb 0.0000 0.1703 0.2235 (multiplicity 4)

The 8 most intense peaks (2θ = 10–90°), low angle first:
30.2°, I = 21, hkl 0 5 1
32.6°, I = 100, hkl 1 0 2
34.4°, I = 37, hkl 0 6 0
34.5°, I = 77, hkl 0 3 3
34.6°, I = 51, hkl 1 2 2
40.1°, I = 36, hkl 1 5 1
57.9°, I = 21, hkl 1 8 2
64.7°, I = 36, hkl 2 3 3

Record 3
# Ho5Tl4Ni
Computed powder diffractogram, a wavelength of 1.5418 Å. Input: a crystal structure in Alexandria, relaxed with GGA-PBE.
Lines closer than 0.1° are merged.

Cell lengths 10.2257, 10.2257, 5.3272 Å; angles 90.00, 90.00, 90.00 degrees
Space group I4/m (No. 87)
Inequivalent atoms, fractional coordinates:
Ho 0.0000 0.0000 0.0000 (multiplicity 2)
Ho 0.1628 0.8085 0.5000 (multiplicity 8)
Tl 0.0088 0.6753 0.0000 (multiplicity 8)
Ni 0.0000 0.0000 0.5000 (multiplicity 2)

The 8 most intense peaks (2θ = 10–90°), low angle first:
31.2°, I = 100, hkl 3 0 1
33.6°, I = 26, hkl 0 0 2
37.3°, I = 35, hkl 3 3 0
51.1°, I = 29, hkl 3 3 2
53.8°, I = 11, hkl 6 0 0
58.6°, I = 17, hkl 3 0 3
63.5°, I = 21, hkl 3 6 1
65.0°, I = 12, hkl 6 0 2

Record 4
# Na5B7C3
Computed powder diffractogram, a wavelength of 1.5418 Å. Input: a crystal structure in Alexandria, relaxed with GGA-PBE.
Lines closer than 0.1° are merged.

Cell lengths 14.2861, 5.1027, 10.3005 Å; angles 90.00, 123.73, 90.00 degrees
Space group C2 (No. 5)
Inequivalent atoms, fractional coordinates:
Na 0.0016 0.0000 0.2543 (multiplicity 4)
Na 0.0987 0.5009 0.7470 (multiplicity 4)
Na 0.1016 0.5027 0.2551 (multiplicity 4)
Na 0.1990 0.0014 0.7471 (multiplicity 4)
Na 0.2017 0.0000 0.2525 (multiplicity 4)
B 0.0000 0.1533 0.0000 (multiplicity 2)
B 0.0000 0.1880 0.5000 (multiplicity 2)
B 0.0000 0.8232 0.0000 (multiplicity 2)
B 0.0000 0.8338 0.5000 (multiplicity 2)
B 0.0962 0.3666 0.0008 (multiplicity 4)
B 0.1053 0.6671 0.4997 (multiplicity 4)
B 0.1957 0.8285 0.0004 (multiplicity 4)
B 0.1965 0.1593 0.0001 (multiplicity 4)
B 0.1995 0.1704 0.4998 (multiplicity 4)
C 0.0981 0.6678 0.0010 (multiplicity 4)
C 0.1010 0.3352 0.4996 (multiplicity 4)
C 0.2025 0.8304 0.4993 (multiplicity 4)

The 8 most intense peaks (2θ = 10–90°), low angle first:
36.0°, I = 18, hkl 5 1 -2
41.2°, I = 51, hkl 0 2 2
41.9°, I = 100, hkl 5 1 0
42.2°, I = 38, hkl 0 0 4
63.7°, I = 18, hkl 5 3 -2
77.0°, I = 13, hkl 5 1 4
79.4°, I = 17, hkl 5 3 2
80.2°, I = 11, hkl 10 2 -2

Record 5
# Li2Pd
Computed powder diffractogram, a wavelength of 1.5418 Å. Input: a crystal structure in Alexandria, relaxed with GGA-PBE.
Lines closer than 0.1° are merged.

Cell lengths 7.3593, 4.2660, 2.7157 Å; angles 90.00, 90.38, 90.00 degrees
Space group C2/m (No. 12)
Inequivalent atoms, fractional coordinates:
Li 0.1669 0.0000 0.3884 (multiplicity 4)
Pd 0.0000 0.5000 0.0000 (multiplicity 2)

The 8 most intense peaks (2θ = 10–90°), low angle first:
24.1°, I = 100, hkl 2 0 0
33.0°, I = 14, hkl 0 0 1
41.2°, I = 27, hkl 2 0 -1
41.3°, I = 21, hkl 1 1 1
42.4°, I = 10, hkl 0 2 0
42.5°, I = 19, hkl 3 1 0
54.7°, I = 13, hkl 0 2 1
76.8°, I = 12, hkl 1 3 1

Record 6
# MnInFe2C
Computed powder diffractogram, a wavelength of 1.5418 Å. Input: a crystal structure in Alexandria, relaxed with GGA-PBE.
Lines closer than 0.1° are merged.

Cell lengths 3.8851, 3.8851, 3.8978 Å; angles 90.00, 90.00, 90.00 degrees
Space group P4/mmm (No. 123)
Inequivalent atoms, fractional coordinates:
Mn 0.0000 0.0000 0.0000 (multiplicity 1)
In 0.5000 0.5000 0.0000 (multiplicity 1)
Fe 0.0000 0.5000 0.5000 (multiplicity 2)
C 0.0000 0.0000 0.5000 (multiplicity 1)

The 8 most intense peaks (2θ = 10–90°), low angle first:
32.6°, I = 17, hkl 1 0 1
40.2°, I = 100, hkl 1 1 1
46.6°, I = 18, hkl 0 0 2
46.8°, I = 36, hkl 2 0 0
68.2°, I = 21, hkl 2 0 2
82.0°, I = 11, hkl 1 1 3
82.3°, I = 22, hkl 3 1 1
86.7°, I = 11, hkl 2 2 2